For MgV4O10, a crystal structure in Alexandria, relaxed with GGA+U gives the calculated powder diffraction line list in this record (a wavelength of 1.5418 Å).
Lines closer than 0.1° are merged.

Crystal structure
a b c (Å): 11.3509 5.4539 5.4539
angles (deg): 39.27 90.00 90.00
Element x y z (fractional)
Mg: 0.0000 0.0000 0.0000
V: 0.1503 0.3062 0.3062
V: 0.3509 0.9010 0.9010
V: 0.6491 0.9010 0.9010
V: 0.8497 0.3062 0.3062
O: 0.0000 0.4080 0.4080
O: 0.1208 0.1472 0.1472
O: 0.1734 0.8699 0.8699
O: 0.3197 0.3532 0.3532
O: 0.3667 0.0559 0.0559
O: 0.5000 0.8373 0.8373
O: 0.6333 0.0559 0.0559
O: 0.6803 0.3532 0.3532
O: 0.8266 0.8699 0.8699
O: 0.8792 0.1472 0.1472

Main lines, in order of rising 2θ (10° ≤ 2θ ≤ 80°):
17.26°, I = 100
23.36°, I = 12
25.81°, I = 35
26.99°, I = 41
29.32°, I = 34
31.53°, I = 18
35.19°, I = 20
35.88°, I = 12
49.75°, I = 18
61.16°, I = 13